Entry 1:
This entry pairs a crystal structure of CaLa2B10O19 with its simulated X-ray powder pattern. Radiation: Cu Kα (λ = 1.5418 Å). Structure: the GGA-PBE geometry in Alexandria.
Intensities are scaled so that the largest is 100.

Most intense lines, 2θ from 5° to 70°, in order of rising 2θ:
2θ/deg	I_rel
9.62	100
15.55	58
18.19	50
24.71	61
27.51	63
29.15	53

Structure:
a b c (Å): 11.155 6.630 9.194
angles (deg): 90.00 91.72 90.00
Space group C2 (No. 5)
One atom of each set of equivalent atoms:
Ca  0.000  0.000  0.000 x2
La  0.163  0.810  0.645 x4
B  0.038  0.484  0.337 x4
B  0.066  0.116  0.373 x4
B  0.116  0.248  0.770 x4
B  0.172  0.795  0.291 x4
B  0.232  0.787  0.028 x4
O  0.000  0.043  0.500 x2
O  0.018  0.098  0.753 x4
O  0.070  0.683  0.364 x4
O  0.074  0.453  0.722 x4
O  0.111  0.329  0.384 x4
O  0.145  0.811  0.134 x4
O  0.149  0.253  0.927 x4
O  0.176  0.995  0.363 x4
O  0.195  0.806  0.888 x4
O  0.217  0.184  0.682 x4

=====

Entry 2:
This entry pairs a crystal structure of LiCaB2 with its simulated X-ray powder pattern. Radiation: Cu Kα (λ = 1.5418 Å). Structure: the GGA-PBE geometry in Alexandria.
Intensities are scaled so that the largest is 100.

Most intense lines, 2θ from 5° to 70°, in order of rising 2θ:
2θ/deg	I_rel
22.85	34
25.18	38
30.04	97
36.86	100
38.07	47
49.97	39

Structure:
a b c (Å): 3.631 3.631 15.569
angles (deg): 90.00 90.00 90.00
Space group I4_1/amd (No. 141, origin choice 2)
One atom of each set of equivalent atoms:
Li  0.000  0.250  0.375 x4
Ca  0.000  0.250  0.875 x4
B  0.000  0.000  0.500 x8